# 1
Simulated PXRD pattern of Na5C3N6 for Cu Kα X-rays, from a DFT-relaxed cell (GGA-PBE, Alexandria).
Neutral-atom scattering factors, no anomalous dispersion.

Main lines, by intensity (2θ from 5° to 70°):
two_theta, d_spacing, I_rel
34.9, 2.569, 100
50.2, 1.816, 25
39.2, 2.298, 18
62.6, 1.483, 18
43.1, 2.097, 11
30.1, 2.966, 11
53.5, 1.712, 9
17.3, 5.137, 4
56.7, 1.625, 4
59.7, 1.549, 4

```
14
Lattice="-3.633 3.633 3.633 3.633 -3.633 3.633 3.633 3.633 -3.633" Properties=species:S:1:pos:R:3 pbc="T T T"
Na 0.000 0.000 0.000
Na 1.816 1.816 -1.816
Na 1.816 -1.816 1.816
Na -1.816 1.816 1.816
Na 1.816 1.816 1.816
C 3.633 0.000 0.000
C 0.000 3.633 0.000
C 0.000 0.000 3.633
N 2.394 0.000 0.000
N 4.871 0.000 0.000
N 0.000 2.394 0.000
N 0.000 0.000 2.394
N 0.000 4.871 0.000
N 0.000 0.000 4.871
```

# 2
Simulated PXRD pattern of Ti2HAu for Cu Kα X-rays, from a DFT-relaxed cell (GGA-PBE, Alexandria).
Neutral-atom scattering factors, no anomalous dispersion.

Main lines, by intensity (2θ from 5° to 70°):
two_theta, d_spacing, I_rel
13.2, 6.690, 100
38.6, 2.331, 73
41.0, 2.201, 61
35.2, 2.546, 52
34.4, 2.610, 46
40.5, 2.230, 28
61.0, 1.520, 25
46.9, 1.939, 24
26.7, 3.345, 22
50.2, 1.816, 17

```
4
Lattice="1.520 0.878 6.690 -1.520 0.878 6.690 0.000 -1.755 6.690" Properties=species:S:1:pos:R:3 pbc="T T T"
Ti 0.000 0.000 0.000
Ti 0.000 0.000 4.434
H 0.000 0.000 12.238
Au 0.000 0.000 15.575
```

# 3
Simulated PXRD pattern of TbEr3Tl4S8 for Cu Kα X-rays, from a DFT-relaxed cell (GGA-PBE, Alexandria).
Neutral-atom scattering factors, no anomalous dispersion.

Main lines, by intensity (2θ from 5° to 70°):
two_theta, d_spacing, I_rel
30.2, 2.957, 100
26.9, 3.318, 65
41.2, 2.190, 39
45.2, 2.004, 34
23.7, 3.762, 32
51.7, 1.769, 25
55.4, 1.659, 18
48.1, 1.892, 18
68.4, 1.372, 16
62.9, 1.478, 11

```
16
Lattice="4.009 2.314 7.524 -4.009 2.314 7.524 0.000 -4.629 7.524" Properties=species:S:1:pos:R:3 pbc="T T T"
Tb 0.000 0.000 0.000
Er -2.004 -1.157 7.524
Er -2.004 1.157 15.048
Er 0.000 2.314 7.524
Tl -4.009 0.000 11.286
Tl -2.004 1.157 3.762
Tl 2.004 1.157 3.762
Tl 0.000 0.000 11.286
S 0.000 -2.294 9.006
S -1.986 1.147 9.006
S 0.000 0.000 6.051
S -1.986 -1.147 13.566
S 1.986 1.147 9.006
S 0.000 0.000 16.520
S 1.986 -1.147 13.566
S 0.000 2.294 13.566
```

# 4
Simulated PXRD pattern of La2Dy8Tl for Cu Kα X-rays, from a DFT-relaxed cell (GGA-PBE, Alexandria).
Neutral-atom scattering factors, no anomalous dispersion.

Main lines, by intensity (2θ from 5° to 70°):
two_theta, d_spacing, I_rel
30.8, 2.901, 100
30.9, 2.891, 99
51.5, 1.774, 35
36.0, 2.494, 35
35.6, 2.525, 34
35.9, 2.505, 33
61.5, 1.508, 28
51.7, 1.768, 24
61.6, 1.506, 14
61.3, 1.513, 14

```
11
Lattice="9.103 -2.495 0.000 9.103 2.495 0.000 -2.060 0.000 7.642" Properties=species:S:1:pos:R:3 pbc="T T T"
La 3.735 0.000 1.011
La 12.411 0.000 6.630
Dy 0.326 0.000 1.714
Dy 1.054 0.000 5.143
Dy 4.614 0.000 4.531
Dy 7.386 0.000 0.441
Dy 8.760 0.000 7.200
Dy 11.531 0.000 3.111
Dy 15.091 0.000 2.499
Dy 15.820 0.000 5.928
Tl 8.073 0.000 3.821
```